1.
Diffraction record for Na5LiV6O18. The X-ray powder pattern is theoretical, not measured: it uses a structure optimized by DFT (PBE+U) and Cu Kα (weighted mean of Kα1 and Kα2).
Kinematic intensities with the Lorentz-polarization factor, no thermal factor.

Atomic structure:
a b c (Å): 8.098 10.347 11.188
angles (deg): 90.39 102.72 110.46
Fractional positions:
Na1 0.000 0.000 0.000
Na2 0.026 0.973 0.448
Na3 0.235 0.765 0.030
Na4 0.334 0.667 0.333
Na5 0.360 0.641 0.782
Na6 0.568 0.433 0.364
Na7 0.667 0.334 0.668
Na8 0.693 0.308 0.114
Na9 0.792 0.209 0.417
Na10 0.902 0.098 0.698
Li1 0.127 0.874 0.747
Li2 0.460 0.540 0.081
V1 0.003 0.419 0.912
V2 0.028 0.560 0.539
V3 0.109 0.313 0.197
V4 0.253 0.329 0.583
V5 0.333 0.085 0.245
V6 0.360 0.224 0.871
V7 0.436 0.977 0.534
V8 0.584 0.995 0.915
V9 0.670 0.752 0.580
V10 0.692 0.887 0.202
V11 0.772 0.645 0.866
V12 0.917 0.661 0.248
O1 0.041 0.662 0.407
O2 0.057 0.651 0.163
O3 0.059 0.191 0.543
O4 0.061 0.661 0.666
O5 0.147 0.149 0.216
O6 0.162 0.088 0.845
O7 0.209 0.547 0.941
O8 0.214 0.493 0.567
O9 0.296 0.983 0.622
O10 0.303 0.988 0.117
O11 0.304 0.452 0.232
O12 0.316 0.978 0.376
O13 0.376 0.329 0.741
O14 0.385 0.860 0.873
O15 0.390 0.325 0.998
O16 0.392 0.319 0.496
O17 0.482 0.816 0.550
O18 0.493 0.752 0.176
O19 0.535 0.215 0.269
O20 0.549 0.161 0.901
O21 0.631 0.116 0.573
O22 0.634 0.652 0.956
O23 0.637 0.656 0.451
O24 0.648 0.644 0.709
O25 0.707 0.994 0.073
O26 0.719 0.527 0.206
O27 0.721 0.983 0.331
O28 0.723 0.984 0.830
O29 0.816 0.484 0.883
O30 0.827 0.428 0.514
O31 0.875 0.880 0.608
O32 0.883 0.827 0.233
O33 0.967 0.784 0.900
O34 0.971 0.323 0.784
O35 0.972 0.325 0.285
O36 0.982 0.310 0.040

Top 8 peaks for 10° ≤ 2θ ≤ 80°, low angle first:
17.6 deg, rel. 40
24.6 deg, rel. 71
27.1 deg, rel. 100
27.7 deg, rel. 26
28.1 deg, rel. 38
31.9 deg, rel. 47
33.3 deg, rel. 30
49.9 deg, rel. 21


2.
Diffraction record for NaLiW4O12. The X-ray powder pattern is theoretical, not measured: it uses a structure optimized by DFT (PBE+U) and Cu Kα (weighted mean of Kα1 and Kα2).
Kinematic intensities with the Lorentz-polarization factor, no thermal factor.

Atomic structure:
a b c (Å): 7.719 5.406 5.406
angles (deg): 89.17 90.00 90.00
Fractional positions:
Na1 0.000 0.000 0.000
Li1 0.500 0.530 0.530
W1 0.251 0.015 0.512
W2 0.251 0.512 0.015
W3 0.749 0.015 0.512
W4 0.749 0.512 0.015
O1 0.000 0.060 0.476
O2 0.000 0.476 0.060
O3 0.212 0.726 0.726
O4 0.247 0.219 0.809
O5 0.247 0.809 0.219
O6 0.302 0.318 0.318
O7 0.500 0.543 0.948
O8 0.500 0.948 0.543
O9 0.698 0.318 0.318
O10 0.753 0.219 0.809
O11 0.753 0.809 0.219
O12 0.788 0.726 0.726

Top 8 peaks for 10° ≤ 2θ ≤ 80°, low angle first:
23.1 deg, rel. 100
23.4 deg, rel. 47
32.9 deg, rel. 32
33.1 deg, rel. 68
40.8 deg, rel. 24
53.1 deg, rel. 19
53.9 deg, rel. 20
58.8 deg, rel. 30


3.
Diffraction record for NaLiZrWO6. The X-ray powder pattern is theoretical, not measured: it uses a structure optimized by DFT (PBE+U) and Cu Kα (weighted mean of Kα1 and Kα2).
Kinematic intensities with the Lorentz-polarization factor, no thermal factor.

Atomic structure:
a b c (Å): 5.706 5.706 5.706
angles (deg): 60.00 60.00 60.00
Fractional positions:
Na1 0.000 0.000 0.000
Li1 0.500 0.500 0.500
Zr1 0.250 0.250 0.250
W1 0.750 0.750 0.750
O1 0.509 0.509 0.991
O2 0.509 0.991 0.509
O3 0.509 0.991 0.991
O4 0.991 0.509 0.509
O5 0.991 0.509 0.991
O6 0.991 0.991 0.509

Top 8 peaks for 10° ≤ 2θ ≤ 80°, low angle first:
19.1 deg, rel. 21
22.0 deg, rel. 100
31.4 deg, rel. 76
44.9 deg, rel. 30
50.6 deg, rel. 41
55.8 deg, rel. 31
65.4 deg, rel. 18
70.0 deg, rel. 19